Diffraction record for FeH4Rh2. The X-ray diffraction stick pattern is computed, not measured: it uses a structure optimized by DFT (PBE) and Cu Kα, 1.54184 Å.
Lines closer than 0.1° are merged.

Largest 8 diffraction maxima, in order of rising 2θ, 2θ = 5–70°:
| Position (°2θ) | Rel. int. |
| --- | --- |
| 19.45 | 100.0 |
| 37.64 | 21.5 |
| 38.48 | 36.3 |
| 39.50 | 94.0 |
| 40.15 | 95.3 |
| 45.74 | 33.5 |
| 46.60 | 62.6 |
| 67.36 | 37.8 |

Structural model:
Unit cell a=5.5601 b=5.5601 c=5.4496 alpha=119.29 beta=119.29 gamma=91.04
Sites, in units of the cell vectors:
Fe: 0.2082 0.2082 0.2078
Fe: 0.7918 0.7918 0.7922
H: 0.0159 0.5195 0.2693
H: 0.0646 0.4960 0.7814
H: 0.4805 0.9841 0.7307
H: 0.5040 0.9354 0.2186
H: 0.5189 0.4785 0.2151
H: 0.5215 0.4811 0.7849
H: 0.9794 0.0199 0.7279
H: 0.9801 0.0206 0.2721
Rh: 0.2656 0.2293 0.7471
Rh: 0.2717 0.7279 0.2527
Rh: 0.2721 0.7283 0.7473
Rh: 0.7707 0.7344 0.2529

---

Diffraction record for Fe4H4Rh. The X-ray diffraction stick pattern is computed, not measured: it uses a structure optimized by DFT (PBE) and Cu Kα, 1.54184 Å.
Lines closer than 0.1° are merged.

Largest 8 diffraction maxima, in order of rising 2θ, 2θ = 5–70°:
| Position (°2θ) | Rel. int. |
| --- | --- |
| 15.42 | 4.8 |
| 22.90 | 3.4 |
| 40.97 | 100.0 |
| 41.04 | 33.3 |
| 47.63 | 44.6 |
| 47.80 | 21.8 |
| 69.67 | 25.6 |
| 69.86 | 12.8 |

Structural model:
Unit cell a=4.6700 b=4.6700 c=6.6162 alpha=118.31 beta=118.31 gamma=33.60
Sites, in units of the cell vectors:
Fe: 0.0998 0.0998 0.4084
Fe: 0.3056 0.3056 0.2097
Fe: 0.6944 0.6944 0.7903
Fe: 0.9002 0.9002 0.5916
H: 0.1057 0.1057 0.8892
H: 0.2919 0.2919 0.6910
H: 0.7081 0.7081 0.3090
H: 0.8943 0.8943 0.1108
Rh: 0.5000 0.5000 0.0000

---

Diffraction record for Fe2HRh. The X-ray diffraction stick pattern is computed, not measured: it uses a structure optimized by DFT (PBE) and Cu Kα, 1.54184 Å.
Lines closer than 0.1° are merged.

Largest 8 diffraction maxima, in order of rising 2θ, 2θ = 5–70°:
| Position (°2θ) | Rel. int. |
| --- | --- |
| 12.45 | 44.9 |
| 36.91 | 20.4 |
| 39.97 | 40.3 |
| 42.93 | 80.3 |
| 43.12 | 100.0 |
| 43.44 | 50.0 |
| 45.74 | 36.7 |
| 60.50 | 18.3 |

Structural model:
Unit cell a=7.1096 b=4.5112 c=5.0856 alpha=90.00 beta=90.87 gamma=90.00
Sites, in units of the cell vectors:
Fe: 0.0868 0.2307 0.3854
Fe: 0.0868 0.2693 0.8854
Fe: 0.2611 0.6889 0.5462
Fe: 0.2611 0.8111 0.0462
Fe: 0.7389 0.1889 0.9538
Fe: 0.7389 0.3111 0.4538
Fe: 0.9132 0.7307 0.1146
Fe: 0.9132 0.7693 0.6146
H: 0.0888 0.6620 0.8409
H: 0.0888 0.8380 0.3409
H: 0.9112 0.1620 0.6591
H: 0.9112 0.3380 0.1591
Rh: 0.4130 0.1776 0.6724
Rh: 0.4130 0.3224 0.1724
Rh: 0.5870 0.6776 0.8276
Rh: 0.5870 0.8224 0.3276

---

Diffraction record for FeH7Rh5. The X-ray diffraction stick pattern is computed, not measured: it uses a structure optimized by DFT (PBE) and Cu Kα, 1.54184 Å.
Lines closer than 0.1° are merged.

Largest 8 diffraction maxima, in order of rising 2θ, 2θ = 5–70°:
| Position (°2θ) | Rel. int. |
| --- | --- |
| 35.96 | 28.9 |
| 36.36 | 41.0 |
| 37.70 | 100.0 |
| 40.06 | 68.5 |
| 40.27 | 70.3 |
| 40.68 | 60.3 |
| 40.87 | 57.5 |
| 41.14 | 99.6 |

Structural model:
Unit cell a=2.8465 b=4.7729 c=15.2668 alpha=89.65 beta=89.27 gamma=89.83
Sites, in units of the cell vectors:
Fe: 0.0000 0.0000 0.0000
Fe: 0.4799 0.0084 0.5002
H: 0.0310 0.7518 0.8878
H: 0.0333 0.2497 0.8909
H: 0.4547 0.8702 0.6108
H: 0.4751 0.7878 0.3880
H: 0.4777 0.1466 0.2739
H: 0.4936 0.3836 0.1696
H: 0.4997 0.7280 0.0462
H: 0.5113 0.2985 0.4015
H: 0.5338 0.2668 0.7649
H: 0.5705 0.7733 0.7499
H: 0.9864 0.3045 0.5405
H: 0.9894 0.3958 0.6710
H: 0.9910 0.7469 0.2345
H: 0.9939 0.1435 0.1082
Rh: 0.0252 0.5102 0.7818
Rh: 0.4825 0.4958 0.6009
Rh: 0.4895 0.9936 0.1644
Rh: 0.4922 0.5219 0.2783
Rh: 0.5077 0.0039 0.8491
Rh: 0.5086 0.4994 0.9487
Rh: 0.9470 0.0007 0.6701
Rh: 0.9688 0.0116 0.3450
Rh: 0.9960 0.5140 0.4425
Rh: 0.9964 0.5186 0.1052

---

Diffraction record for Fe3H4Rh. The X-ray diffraction stick pattern is computed, not measured: it uses a structure optimized by DFT (PBE) and Cu Kα, 1.54184 Å.
Lines closer than 0.1° are merged.

Largest 7 diffraction maxima, in order of rising 2θ, 2θ = 5–70°:
| Position (°2θ) | Rel. int. |
| --- | --- |
| 23.07 | 9.3 |
| 32.85 | 7.5 |
| 40.52 | 100.0 |
| 47.14 | 50.7 |
| 53.11 | 4.1 |
| 58.65 | 3.1 |
| 68.88 | 29.8 |

Structural model:
Unit cell a=3.8558 b=3.8558 c=3.8558 alpha=90.00 beta=90.00 gamma=90.00
Sites, in units of the cell vectors:
Fe: 0.0000 0.0000 0.5000
Fe: 0.0000 0.5000 0.0000
Fe: 0.5000 0.0000 0.0000
H: 0.0000 0.0000 0.0000
H: 0.0000 0.5000 0.5000
H: 0.5000 0.0000 0.5000
H: 0.5000 0.5000 0.0000
Rh: 0.5000 0.5000 0.5000

---

Diffraction record for Fe2H3Rh2. The X-ray diffraction stick pattern is computed, not measured: it uses a structure optimized by DFT (PBE) and Cu Kα, 1.54184 Å.
Lines closer than 0.1° are merged.

Largest 8 diffraction maxima, in order of rising 2θ, 2θ = 5–70°:
| Position (°2θ) | Rel. int. |
| --- | --- |
| 26.56 | 13.9 |
| 37.49 | 25.5 |
| 37.67 | 10.4 |
| 40.23 | 39.8 |
| 42.75 | 100.0 |
| 42.91 | 53.6 |
| 56.25 | 14.2 |
| 67.88 | 16.4 |

Structural model:
Unit cell a=5.2674 b=4.7755 c=5.2781 alpha=90.00 beta=116.50 gamma=90.00
Sites, in units of the cell vectors:
Fe: 0.1266 0.1651 0.3828
Fe: 0.1266 0.3349 0.8828
Fe: 0.8734 0.6651 0.1172
Fe: 0.8734 0.8349 0.6172
H: 0.2285 0.5006 0.2614
H: 0.2285 0.9994 0.7614
H: 0.5000 0.0000 0.5000
H: 0.5000 0.5000 0.0000
H: 0.7715 0.0006 0.2386
H: 0.7715 0.4994 0.7386
Rh: 0.3559 0.6628 0.6198
Rh: 0.3559 0.8372 0.1198
Rh: 0.6441 0.1628 0.8802
Rh: 0.6441 0.3372 0.3802

---

Diffraction record for Fe2H2Rh. The X-ray diffraction stick pattern is computed, not measured: it uses a structure optimized by DFT (PBE) and Cu Kα, 1.54184 Å.
Lines closer than 0.1° are merged.

Largest 8 diffraction maxima, in order of rising 2θ, 2θ = 5–70°:
| Position (°2θ) | Rel. int. |
| --- | --- |
| 21.72 | 11.1 |
| 25.57 | 15.8 |
| 40.53 | 100.0 |
| 40.79 | 98.2 |
| 47.22 | 32.9 |
| 47.35 | 65.3 |
| 68.85 | 9.9 |
| 69.10 | 39.0 |

Structural model:
Unit cell a=4.7192 b=4.7192 c=4.7192 alpha=146.71 beta=131.85 gamma=59.79
Sites, in units of the cell vectors:
Fe: 0.1655 0.1655 0.0000
Fe: 0.8345 0.8345 0.0000
H: 0.3294 0.8294 0.5000
H: 0.6706 0.1706 0.5000
Rh: 0.5000 0.5000 0.0000

---

Diffraction record for Fe5H6Rh. The X-ray diffraction stick pattern is computed, not measured: it uses a structure optimized by DFT (PBE) and Cu Kα, 1.54184 Å.
Lines closer than 0.1° are merged.

Largest 8 diffraction maxima, in order of rising 2θ, 2θ = 5–70°:
| Position (°2θ) | Rel. int. |
| --- | --- |
| 22.93 | 5.5 |
| 40.79 | 100.0 |
| 40.94 | 97.9 |
| 47.55 | 99.5 |
| 69.31 | 9.7 |
| 69.46 | 19.3 |
| 69.57 | 19.2 |
| 69.73 | 9.5 |

Structural model:
Unit cell a=4.6934 b=4.6934 c=4.6761 alpha=99.65 beta=99.65 gamma=120.13
Sites, in units of the cell vectors:
Fe: 0.0000 0.0000 0.0000
Fe: 0.1664 0.8336 0.5000
Fe: 0.3294 0.6706 0.0000
Fe: 0.6706 0.3294 0.0000
Fe: 0.8336 0.1664 0.5000
H: 0.0719 0.4127 0.2407
H: 0.2420 0.2420 0.7564
H: 0.4127 0.0719 0.2407
H: 0.5873 0.9281 0.7593
H: 0.7580 0.7580 0.2436
H: 0.9281 0.5873 0.7593
Rh: 0.5000 0.5000 0.5000

---

Q: Which formula does entry 8 have?
A: Fe5H6Rh